This entry pairs a crystal structure of KCa3 with its simulated XRD peak list. Radiation: copper Kα. Structure: a structure optimized by DFT (PBE).
Kinematic intensities with the Lorentz-polarization factor, no thermal factor.

Peak list (6 most intense, 5° ≤ 2θ ≤ 70°, most intense first)
- hkl 1 1 1, 2θ = 26.84°, d = 3.322 Å, intensity 100
- hkl 2 0 0, 2θ = 31.09°, d = 2.877 Å, intensity 50
- hkl 3 1 1, 2θ = 52.77°, d = 1.735 Å, intensity 39
- hkl 2 2 0, 2θ = 44.54°, d = 2.034 Å, intensity 34
- hkl 2 2 2, 2θ = 55.31°, d = 1.661 Å, intensity 11
- hkl 4 0 0, 2θ = 64.82°, d = 1.438 Å, intensity 5

abc: 5.7534 5.7534 5.7534
angles: 90.00 90.00 90.00
Space group Pm-3m (No. 221)
Inequivalent atoms, fractional coordinates:
K: 0.0000 0.0000 0.0000 (multiplicity 1)
Ca: 0.0000 0.5000 0.5000 (multiplicity 3)

This entry pairs a crystal structure of K3In8Au8 with its simulated XRD peak list. Radiation: copper Kα. Structure: a structure optimized by DFT (PBE).
Kinematic intensities with the Lorentz-polarization factor, no thermal factor.

Peak list (10 most intense, 5° ≤ 2θ ≤ 70°, most intense first)
- hkl 0 2 4, 2θ = 30.60°, d = 2.922 Å, intensity 100
- hkl 0 0 2, 2θ = 13.55°, d = 6.533 Å, intensity 88
- hkl 0 2 2, 2θ = 19.21°, d = 4.619 Å, intensity 54
- hkl 2 0 1, 2θ = 31.13°, d = 2.873 Å, intensity 44
- hkl 1 5 3, 2θ = 43.17°, d = 2.096 Å, intensity 42
- hkl 2 2 -3, 2θ = 39.40°, d = 2.287 Å, intensity 35
- hkl 2 1 -1, 2θ = 31.89°, d = 2.806 Å, intensity 28
- hkl 0 4 4, 2θ = 39.00°, d = 2.310 Å, intensity 27
- hkl 0 6 0, 2θ = 41.37°, d = 2.183 Å, intensity 24
- hkl 0 0 6, 2θ = 41.57°, d = 2.172 Å, intensity 23

abc: 5.8907 13.0964 13.0349
angles: 90.00 90.21 90.00
Space group Pm (No. 6)
Inequivalent atoms, fractional coordinates:
K: 0.0000 0.2492 0.0000 (multiplicity 2)
K: 0.0007 0.2490 0.4980 (multiplicity 2)
K: 0.4998 0.2507 0.9975 (multiplicity 2)
In: 0.1133 0.0000 0.6242 (multiplicity 1)
In: 0.1131 0.0000 0.8736 (multiplicity 1)
In: 0.2295 0.1250 0.2502 (multiplicity 2)
In: 0.2785 0.3741 0.7470 (multiplicity 2)
In: 0.3878 0.5000 0.1249 (multiplicity 1)
In: 0.3928 0.5000 0.3757 (multiplicity 1)
In: 0.6107 0.1257 0.7460 (multiplicity 2)
In: 0.7207 0.5000 0.6224 (multiplicity 1)
In: 0.7268 0.5000 0.8731 (multiplicity 1)
In: 0.7701 0.0000 0.3740 (multiplicity 1)
In: 0.7761 0.0000 0.1239 (multiplicity 1)
In: 0.8846 0.3750 0.2490 (multiplicity 2)
Au: 0.1223 0.1745 0.7510 (multiplicity 2)
Au: 0.2271 0.5000 0.5757 (multiplicity 1)
Au: 0.2302 0.5000 0.9218 (multiplicity 1)
Au: 0.2712 0.0000 0.0754 (multiplicity 1)
Au: 0.2717 0.0000 0.4225 (multiplicity 1)
Au: 0.3770 0.3255 0.2477 (multiplicity 2)
Au: 0.6196 0.0000 0.5741 (multiplicity 1)
Au: 0.6228 0.0000 0.9228 (multiplicity 1)
Au: 0.7302 0.1735 0.2469 (multiplicity 2)
Au: 0.7722 0.3265 0.7507 (multiplicity 2)
Au: 0.8781 0.5000 0.0740 (multiplicity 1)
Au: 0.8812 0.5000 0.4229 (multiplicity 1)

This entry pairs a crystal structure of GdP with its simulated XRD peak list. Radiation: copper Kα. Structure: a structure optimized by DFT (PBE).
Kinematic intensities with the Lorentz-polarization factor, no thermal factor.

Peak list (6 most intense, 5° ≤ 2θ ≤ 70°, most intense first)
- hkl 2 0 0, 2θ = 31.27°, d = 2.860 Å, intensity 100
- hkl 1 1 1, 2θ = 27.00°, d = 3.302 Å, intensity 85
- hkl 2 2 0, 2θ = 44.82°, d = 2.022 Å, intensity 73
- hkl 3 1 1, 2θ = 53.10°, d = 1.725 Å, intensity 41
- hkl 2 2 2, 2θ = 55.66°, d = 1.651 Å, intensity 26
- hkl 4 0 0, 2θ = 65.24°, d = 1.430 Å, intensity 12

abc: 5.7201 5.7201 5.7201
angles: 90.00 90.00 90.00
Space group Fm-3m (No. 225)
Inequivalent atoms, fractional coordinates:
Gd: 0.0000 0.0000 0.0000 (multiplicity 4)
P: 0.0000 0.0000 0.5000 (multiplicity 4)